Entry 1:
Diffraction record for Ba3NbAs3O. The PXRD pattern is calculated, not measured: it uses a structure optimized by DFT (PBE) and λ = 1.5418 Å (Cu Kα).

Principal peaks in the range 15 to 90 degrees two-theta, in order of rising 2θ:
24.3 deg, intensity 23; 24.6 deg, intensity 38; 26.1 deg, intensity 100; 30.9 deg, intensity 13; 31.8 deg, intensity 17; 36.2 deg, intensity 31; 37.2 deg, intensity 36; 40.8 deg, intensity 38; 41.6 deg, intensity 17; 49.1 deg, intensity 18; 49.8 deg, intensity 9; 60.7 deg, intensity 9

Crystal structure
```
Ba3NbAs3O
1.0
6.820 0.000 0.000
0.000 11.255 0.000
0.000 0.000 13.677
Ba Nb As O
12 4 12 4
Direct
0.227 0.250 0.128
0.243 0.545 0.369
0.243 0.955 0.369
0.257 0.045 0.869
0.257 0.455 0.869
0.273 0.750 0.628
0.727 0.250 0.372
0.743 0.545 0.131
0.743 0.955 0.131
0.757 0.045 0.631
0.757 0.455 0.631
0.773 0.750 0.872
0.160 0.250 0.545
0.340 0.750 0.045
0.660 0.250 0.955
0.840 0.750 0.455
0.227 0.250 0.367
0.237 0.556 0.117
0.237 0.944 0.117
0.263 0.056 0.617
0.263 0.444 0.617
0.273 0.750 0.867
0.727 0.250 0.133
0.737 0.556 0.383
0.737 0.944 0.383
0.763 0.056 0.883
0.763 0.444 0.883
0.773 0.750 0.633
0.119 0.750 0.447
0.381 0.250 0.947
0.619 0.750 0.053
0.881 0.250 0.553
```

***

Entry 2:
Diffraction record for BaNi9As5. The PXRD pattern is calculated, not measured: it uses a structure optimized by DFT (PBE) and λ = 1.5418 Å (Cu Kα).

Principal peaks in the range 15 to 90 degrees two-theta, in order of rising 2θ:
30.8 deg, intensity 100; 31.6 deg, intensity 20; 34.5 deg, intensity 81; 35.2 deg, intensity 42; 44.5 deg, intensity 40; 47.3 deg, intensity 25; 47.6 deg, intensity 70; 48.2 deg, intensity 18; 49.4 deg, intensity 34; 52.5 deg, intensity 61; 54.3 deg, intensity 53; 76.5 deg, intensity 23

Crystal structure
```
BaNi9As5
1.0
6.760 0.000 0.000
-3.380 5.855 0.000
0.000 0.000 11.318
Ba Ni As
2 18 10
Direct
0.000 0.000 0.000
0.000 0.000 0.500
0.071 0.536 0.107
0.071 0.536 0.393
0.209 0.418 0.750
0.209 0.791 0.750
0.418 0.209 0.250
0.464 0.536 0.107
0.464 0.536 0.393
0.464 0.929 0.107
0.464 0.929 0.393
0.536 0.071 0.607
0.536 0.071 0.893
0.536 0.464 0.607
0.536 0.464 0.893
0.582 0.791 0.750
0.791 0.209 0.250
0.791 0.582 0.250
0.929 0.464 0.607
0.929 0.464 0.893
0.173 0.346 0.250
0.173 0.827 0.250
0.333 0.667 0.561
0.333 0.667 0.939
0.346 0.173 0.750
0.654 0.827 0.250
0.667 0.333 0.061
0.667 0.333 0.439
0.827 0.173 0.750
0.827 0.654 0.750
```

***

Entry 3:
Diffraction record for Ba2As2O7. The PXRD pattern is calculated, not measured: it uses a structure optimized by DFT (PBE) and λ = 1.5418 Å (Cu Kα).

Principal peaks in the range 15 to 90 degrees two-theta, in order of rising 2θ:
23.5 deg, intensity 13; 23.7 deg, intensity 31; 24.8 deg, intensity 48; 25.8 deg, intensity 12; 26.4 deg, intensity 100; 26.5 deg, intensity 11; 27.9 deg, intensity 12; 28.7 deg, intensity 13; 29.6 deg, intensity 18; 30.0 deg, intensity 20; 30.6 deg, intensity 13; 33.5 deg, intensity 15

Crystal structure
```
Ba2As2O7
1.0
7.565 0.000 0.000
0.045 7.570 0.000
1.582 0.732 13.492
Ba As O
8 8 28
Direct
0.120 0.154 0.362
0.268 0.265 0.651
0.289 0.833 0.862
0.333 0.587 0.156
0.667 0.413 0.844
0.711 0.167 0.138
0.732 0.735 0.349
0.880 0.846 0.638
0.193 0.343 0.914
0.199 0.077 0.108
0.201 0.686 0.410
0.402 0.734 0.605
0.598 0.266 0.395
0.799 0.314 0.590
0.801 0.923 0.892
0.807 0.657 0.086
0.022 0.018 0.193
0.025 0.820 0.447
0.030 0.428 0.850
0.085 0.209 0.019
0.129 0.510 0.353
0.259 0.896 0.647
0.285 0.601 0.524
0.303 0.905 0.051
0.320 0.503 0.957
0.333 0.205 0.846
0.337 0.212 0.162
0.364 0.802 0.337
0.404 0.200 0.461
0.422 0.583 0.701
0.578 0.417 0.299
0.596 0.800 0.539
0.636 0.198 0.663
0.663 0.788 0.838
0.667 0.795 0.154
0.680 0.497 0.043
0.697 0.095 0.949
0.715 0.399 0.476
0.741 0.104 0.353
0.871 0.490 0.647
0.915 0.791 0.981
0.970 0.572 0.150
0.975 0.180 0.553
0.978 0.982 0.807
```

***

Entry 4:
Diffraction record for Ba2As6O11. The PXRD pattern is calculated, not measured: it uses a structure optimized by DFT (PBE) and λ = 1.5418 Å (Cu Kα).

Principal peaks in the range 15 to 90 degrees two-theta, in order of rising 2θ:
24.6 deg, intensity 58; 25.5 deg, intensity 100; 25.7 deg, intensity 26; 26.4 deg, intensity 70; 26.8 deg, intensity 73; 27.0 deg, intensity 71; 27.2 deg, intensity 51; 29.8 deg, intensity 87; 32.2 deg, intensity 58; 33.7 deg, intensity 69; 37.7 deg, intensity 50; 41.2 deg, intensity 31

Crystal structure
```
Ba2As6O11
1.0
5.352 0.000 0.000
0.737 7.293 0.000
0.643 3.238 8.988
Ba As O
2 6 11
Direct
0.000 0.000 0.000
0.475 0.613 0.853
0.059 0.896 0.555
0.453 0.722 0.345
0.512 0.159 0.711
0.518 0.186 0.258
0.994 0.429 0.623
0.994 0.438 0.176
0.007 0.627 0.010
0.148 0.949 0.706
0.167 0.757 0.268
0.247 0.326 0.757
0.263 0.278 0.127
0.374 0.784 0.518
0.533 0.979 0.883
0.596 0.957 0.229
0.747 0.317 0.755
0.750 0.310 0.116
0.929 0.654 0.665
```

***

Entry 5:
Diffraction record for BaAs2O6. The PXRD pattern is calculated, not measured: it uses a structure optimized by DFT (PBE) and λ = 1.5418 Å (Cu Kα).

Principal peaks in the range 15 to 90 degrees two-theta, in order of rising 2θ:
15.9 deg, intensity 18; 21.1 deg, intensity 34; 24.4 deg, intensity 100; 26.0 deg, intensity 90; 28.9 deg, intensity 25; 30.3 deg, intensity 24; 30.5 deg, intensity 32; 35.4 deg, intensity 23; 38.0 deg, intensity 17; 42.6 deg, intensity 31; 49.2 deg, intensity 17; 58.9 deg, intensity 16

Crystal structure
```
BaAs2O6
1.0
3.740 -9.073 0.000
3.740 9.073 0.000
-3.161 0.000 3.975
Ba As O
2 4 12
Direct
0.145 0.855 0.750
0.855 0.145 0.250
0.312 0.688 0.250
0.466 0.534 0.250
0.534 0.466 0.750
0.688 0.312 0.750
0.124 0.588 0.356
0.200 0.431 0.961
0.291 0.353 0.393
0.353 0.291 0.893
0.412 0.876 0.144
0.431 0.200 0.461
0.569 0.800 0.539
0.588 0.124 0.856
0.647 0.709 0.107
0.709 0.647 0.607
0.800 0.569 0.039
0.876 0.412 0.644
```

***

Entry 6:
Diffraction record for Ba2As6O11. The PXRD pattern is calculated, not measured: it uses a structure optimized by DFT (PBE) and λ = 1.5418 Å (Cu Kα).

Principal peaks in the range 15 to 90 degrees two-theta, in order of rising 2θ:
18.7 deg, intensity 86; 23.6 deg, intensity 57; 24.9 deg, intensity 100; 26.0 deg, intensity 90; 26.5 deg, intensity 72; 27.0 deg, intensity 86; 30.4 deg, intensity 46; 31.4 deg, intensity 53; 33.0 deg, intensity 80; 33.7 deg, intensity 46; 41.1 deg, intensity 35; 51.4 deg, intensity 38

Crystal structure
```
Ba2As6O11
1.0
7.022 0.000 0.000
1.459 6.881 0.000
2.081 0.669 7.171
Ba As O
2 6 11
Direct
0.000 0.000 0.000
0.222 0.502 0.594
0.230 0.992 0.359
0.375 0.551 0.049
0.574 0.825 0.974
0.636 0.135 0.406
0.730 0.384 0.686
0.858 0.511 0.216
0.018 0.147 0.314
0.237 0.668 0.884
0.360 0.162 0.426
0.361 0.995 0.101
0.578 0.368 0.930
0.596 0.176 0.643
0.625 0.412 0.322
0.721 0.760 0.154
0.863 0.711 0.551
0.956 0.264 0.738
0.964 0.615 0.378
```

***

Entry 7:
Diffraction record for BaAs4O14. The PXRD pattern is calculated, not measured: it uses a structure optimized by DFT (PBE) and λ = 1.5418 Å (Cu Kα).

Principal peaks in the range 15 to 90 degrees two-theta, in order of rising 2θ:
15.3 deg, intensity 47; 17.1 deg, intensity 47; 19.8 deg, intensity 100; 19.9 deg, intensity 40; 25.2 deg, intensity 78; 29.6 deg, intensity 89; 34.6 deg, intensity 37; 38.2 deg, intensity 30; 40.3 deg, intensity 36; 44.2 deg, intensity 25; 44.4 deg, intensity 26; 59.9 deg, intensity 26

Crystal structure
```
BaAs4O14
1.0
8.911 0.000 0.000
0.000 5.791 0.000
0.000 0.000 11.585
Ba As O
2 8 28
Direct
0.000 0.000 0.000
0.500 0.000 0.500
0.000 0.210 0.312
0.000 0.790 0.688
0.158 0.500 0.500
0.342 0.500 0.000
0.500 0.210 0.188
0.500 0.790 0.812
0.658 0.500 0.000
0.842 0.500 0.500
0.000 0.056 0.754
0.000 0.348 0.179
0.000 0.378 0.587
0.000 0.622 0.413
0.000 0.652 0.821
0.000 0.944 0.246
0.162 0.242 0.395
0.162 0.758 0.605
0.187 0.366 0.927
0.187 0.634 0.073
0.313 0.366 0.573
0.313 0.634 0.427
0.338 0.242 0.105
0.338 0.758 0.895
0.500 0.056 0.746
0.500 0.348 0.321
0.500 0.378 0.913
0.500 0.622 0.087
0.500 0.652 0.679
0.500 0.944 0.254
0.662 0.242 0.105
0.662 0.758 0.895
0.687 0.366 0.573
0.687 0.634 0.427
0.813 0.366 0.927
0.813 0.634 0.073
0.838 0.242 0.395
0.838 0.758 0.605
```

***

Entry 8:
Diffraction record for BaAs2O5. The PXRD pattern is calculated, not measured: it uses a structure optimized by DFT (PBE) and λ = 1.5418 Å (Cu Kα).

Principal peaks in the range 15 to 90 degrees two-theta, in order of rising 2θ:
20.5 deg, intensity 18; 23.5 deg, intensity 40; 24.2 deg, intensity 43; 26.0 deg, intensity 37; 26.4 deg, intensity 100; 28.0 deg, intensity 50; 28.2 deg, intensity 31; 29.8 deg, intensity 32; 32.3 deg, intensity 67; 43.4 deg, intensity 20; 47.8 deg, intensity 20; 53.1 deg, intensity 23

Crystal structure
```
BaAs2O5
1.0
8.343 0.000 0.000
-0.112 8.667 0.000
-2.111 -0.371 8.660
Ba As O
4 8 20
Direct
0.236 0.084 0.392
0.261 0.640 0.540
0.739 0.360 0.460
0.764 0.916 0.608
0.044 0.630 0.854
0.118 0.261 0.765
0.368 0.381 0.141
0.497 0.742 0.239
0.503 0.258 0.761
0.632 0.619 0.859
0.882 0.739 0.235
0.956 0.370 0.146
0.031 0.834 0.378
0.051 0.463 0.717
0.076 0.997 0.022
0.084 0.770 0.734
0.181 0.350 0.215
0.282 0.279 0.654
0.301 0.947 0.716
0.435 0.837 0.390
0.446 0.542 0.288
0.471 0.236 0.248
0.529 0.764 0.752
0.554 0.458 0.712
0.565 0.163 0.610
0.699 0.053 0.284
0.718 0.721 0.346
0.819 0.650 0.785
0.916 0.230 0.266
0.924 0.003 0.978
0.949 0.537 0.283
0.969 0.166 0.622
```